Diffraction record for Cd3GeMo. The powder X-ray diffraction pattern is theoretical, not measured: it uses a structure optimized by DFT (PBE) and Cu Kα (λ = 1.5418 Å).
Kinematic intensities with the Lorentz-polarization factor, no thermal factor.

Most intense lines, 10° ≤ 2θ ≤ 90°, most intense first:
(2 0 0), 34.8 deg, d = 2.575 Å, rel. 100; (1 1 1), 30.1 deg, d = 2.973 Å, rel. 100; (2 2 0), 50.1 deg, d = 1.821 Å, rel. 69; (3 1 1), 59.5 deg, d = 1.553 Å, rel. 40; (4 2 0), 84.1 deg, d = 1.152 Å, rel. 30; (2 2 2), 62.5 deg, d = 1.487 Å, rel. 23

Atomic structure:
Unit cell a=5.1499 b=5.1499 c=5.1499 alpha=90.00 beta=90.00 gamma=90.00
Space group Pm-3m (No. 221)
Asymmetric unit:
Cd 0.0000 0.0000 0.5000 x3
Ge 0.0000 0.0000 0.0000 x1
Mo 0.5000 0.5000 0.5000 x1